The following is a theoretical X-ray powder pattern of Na5B8C2. It was derived from a PBE-relaxed structure, using Cu Kα X-rays.

Main lines, sorted by position (10 to 80 degrees two-theta):
- 2.644 Å, 2θ 33.90, intensity 14, hkl 0 10 0
- 2.483 Å, 2θ 36.17, intensity 17, hkl 1 5 0
- 2.258 Å, 2θ 39.93, intensity 49, hkl 0 10 2
- 2.168 Å, 2θ 41.66, intensity 38, hkl 0 0 4
- 2.155 Å, 2θ 41.92, intensity 100, hkl 1 5 2
- 1.494 Å, 2θ 62.14, intensity 17, hkl 1 15 0
- 1.249 Å, 2θ 76.22, intensity 13, hkl 1 5 6
- 1.230 Å, 2θ 77.62, intensity 16, hkl 1 15 4

Atomic structure:
```
data_Na5B8C2
_symmetry_space_group_name_H-M 'C m c m'
_symmetry_Int_Tables_number 63
_symmetry_space_group_name_Hall '-C 2c 2'
_cell_length_a 2.813
_cell_length_b 26.445
_cell_length_c 8.671
_cell_angle_alpha 90.00
_cell_angle_beta 90.00
_cell_angle_gamma 90.00
loop_
_atom_site_label
_atom_site_fract_x
_atom_site_fract_y
_atom_site_fract_z
Na1 0.000 0.000 0.000
Na2 0.000 0.200 0.000
Na3 0.000 0.401 0.000
B1 0.000 0.064 0.250
B2 0.000 0.067 0.750
B3 0.000 0.127 0.250
B4 0.000 0.266 0.750
B5 0.000 0.275 0.250
B6 0.000 0.330 0.750
B7 0.000 0.342 0.250
B8 0.000 0.477 0.750
C1 0.000 0.128 0.750
C2 0.000 0.464 0.250
```